Calculated powder diffraction line list
Compound: Na4In3AsS8
Radiation: a wavelength of 1.5418 Å
Structure: a crystal structure in Alexandria, relaxed with GGA-PBE
Kinematic intensities with the Lorentz-polarization factor, no thermal factor.

Cell and atoms:
Cell lengths 8.0320, 8.0320, 8.0320 Å; angles 56.98, 56.98, 56.98 degrees
Positions (direct):
Na1 0.0000 0.0000 0.0000
Na2 0.0000 0.5000 0.5000
Na3 0.5000 0.0000 0.5000
Na4 0.5000 0.5000 0.0000
In1 0.0000 0.0000 0.5000
In2 0.0000 0.5000 0.0000
In3 0.5000 0.0000 0.0000
As1 0.5000 0.5000 0.5000
S1 0.2396 0.2396 0.2396
S2 0.2437 0.7377 0.7377
S3 0.2623 0.2623 0.7563
S4 0.2623 0.7563 0.2623
S5 0.7377 0.2437 0.7377
S6 0.7377 0.7377 0.2437
S7 0.7563 0.2623 0.2623
S8 0.7604 0.7604 0.7604

Main lines, sorted by position (15° ≤ 2θ ≤ 90°):
2theta  d [Å]  intensity
27.2  3.274  25
32.3  2.769  100
41.6  2.172  16
45.3  2.004  35
47.5  1.916  33
58.6  1.575  16